The following is a computed powder diffractogram of SrMgCd2Au4. It was derived from the GGA-PBE geometry in Alexandria, using Cu Kα X-rays.
No peak broadening, texture or thermal motion is included.

Peak list (10 most intense, 2θ from 10° to 90°, in order of rising 2θ)
| d/Å | intensity | h k l |
| --- | --- | --- |
| 3.529 | 30 | 1 0 4 |
| 3.288 | 18 | 0 1 5 |
| 2.828 | 25 | 1 0 7 |
| 2.622 | 71 | 0 1 8 |
| 2.386 | 100 | 1 1 0 |
| 2.119 | 30 | 0 1 11 |
| 1.765 | 22 | 2 0 8 |
| 1.442 | 16 | 1 1 15 |
| 1.419 | 21 | 1 2 8 |
| 1.377 | 18 | 3 0 0 |

Structural model:
```
data_SrMgCd2Au4
_chemical_formula_sum 'Sr3 Mg3 Cd6 Au12'
_cell_length_a 4.7711
_cell_length_b 4.7711
_cell_length_c 27.1469
_cell_angle_alpha 90.00
_cell_angle_beta 90.00
_cell_angle_gamma 120.00
_space_group_name_H-M_alt 'R -3 m'
_space_group_IT_number 166
_space_group_name_Hall '-R 3 2"'
loop_
_atom_site_label
_atom_site_type_symbol
_atom_site_fract_x
_atom_site_fract_y
_atom_site_fract_z
Sr1 Sr 0.0000 0.0000 0.0000
Mg1 Mg 0.0000 0.0000 0.5000
Cd1 Cd 0.0000 0.0000 0.2425
Au1 Au 0.0000 0.0000 0.1334
Au2 Au 0.0000 0.0000 0.3985
```



The following is a computed powder diffractogram of LaHoGa2Pt2. It was derived from the GGA-PBE geometry in Alexandria, using Cu Kα X-rays.
No peak broadening, texture or thermal motion is included.

Peak list (10 most intense, 2θ from 10° to 90°, in order of rising 2θ)
| d/Å | intensity | h k l |
| --- | --- | --- |
| 7.254 | 10 | 0 0 1 |
| 3.434 | 26 | 1 0 1 |
| 2.656 | 100 | 0 1 2 |
| 2.251 | 71 | 1 1 0 |
| 2.055 | 9 | 1 0 3 |
| 1.813 | 8 | 0 0 4 |
| 1.717 | 27 | 2 0 2 |
| 1.412 | 22 | 1 1 4 |
| 1.365 | 25 | 1 2 2 |
| 1.300 | 12 | 3 0 0 |

Structural model:
```
data_LaHoGa2Pt2
_chemical_formula_sum 'La1 Ho1 Ga2 Pt2'
_cell_length_a 4.5022
_cell_length_b 4.5022
_cell_length_c 7.2539
_cell_angle_alpha 90.00
_cell_angle_beta 90.00
_cell_angle_gamma 120.00
_space_group_name_H-M_alt 'P -3 m 1'
_space_group_IT_number 164
_space_group_name_Hall '-P 3 2"'
loop_
_atom_site_label
_atom_site_type_symbol
_atom_site_fract_x
_atom_site_fract_y
_atom_site_fract_z
La1 La 0.0000 0.0000 0.0000
Ho1 Ho 0.0000 0.0000 0.5000
Ga1 Ga 0.3333 0.6667 0.2810
Pt1 Pt 0.3333 0.6667 0.7198
```